1.
# GdHo2Er
Theoretical powder XRD pattern, Cu Kα X-rays. Input: a cell relaxed with PBE.
Intensities are scaled so that the largest is 100.

Most intense lines, 10° ≤ 2θ ≤ 90°, by angle:
(hkl), Position (°2θ), intensity
0 2 2, 28.71, 24
2 0 0, 31.91, 24
1 4 0, 32.94, 100
2 2 2, 43.45, 16
0 6 2, 50.86, 20
3 4 0, 57.52, 21
2 6 2, 61.31, 23
1 4 4, 61.94, 16
2 8 0, 69.08, 4
3 4 4, 80.32, 8
1 10 2, 84.17, 14
4 6 2, 88.47, 9

Structure:
```
data_GdHo2Er
_symmetry_space_group_name_H-M 'A m a 2'
_symmetry_Int_Tables_number 40
_cell_length_a 5.6089
_cell_length_b 12.4359
_cell_length_c 7.1817
_cell_angle_alpha 90.00
_cell_angle_beta 90.00
_cell_angle_gamma 90.00
loop_
_symmetry_equiv_pos_as_xyz
'x,y,z'
'-x,-y,z'
'-x+1/2,y,z'
'x+1/2,-y,z'
'x,y+1/2,z+1/2'
'-x,-y+1/2,z+1/2'
'-x+1/2,y+1/2,z+1/2'
'x+1/2,-y+1/2,z+1/2'
loop_
_atom_site_label
_atom_site_type_symbol
_atom_site_fract_x
_atom_site_fract_y
_atom_site_fract_z
Gd1 Gd 0.2500 0.0835 0.0000
Ho1 Ho 0.2500 0.0837 0.5004
Ho2 Ho 0.2500 0.3330 0.7499
Er1 Er 0.2500 0.3331 0.2505
```

=====

2.
# GdHo2ErMg2
Theoretical powder XRD pattern, Cu Kα X-rays. Input: a cell relaxed with PBE.
Intensities are scaled so that the largest is 100.

Most intense lines, 10° ≤ 2θ ≤ 90°, by angle:
(hkl), Position (°2θ), intensity
0 0 2, 10.30, 18
1 0 2, 19.29, 13
0 1 1, 24.93, 18
1 0 4, 26.43, 27
0 0 6, 31.25, 20
2 0 0, 32.87, 29
1 1 3, 33.43, 100
1 0 6, 35.43, 16
0 1 7, 44.46, 14
2 0 6, 45.99, 14
3 1 3, 59.04, 20
2 2 0, 61.09, 10

Structure:
```
data_GdHo2ErMg2
_symmetry_space_group_name_H-M 'A m m 2'
_symmetry_Int_Tables_number 38
_cell_length_a 5.4498
_cell_length_b 3.6518
_cell_length_c 17.1710
_cell_angle_alpha 90.00
_cell_angle_beta 90.00
_cell_angle_gamma 90.00
loop_
_symmetry_equiv_pos_as_xyz
'x,y,z'
'-x,-y,z'
'-x,y,z'
'x,-y,z'
'x,y+1/2,z+1/2'
'-x,-y+1/2,z+1/2'
'-x,y+1/2,z+1/2'
'x,-y+1/2,z+1/2'
loop_
_atom_site_label
_atom_site_type_symbol
_atom_site_fract_x
_atom_site_fract_y
_atom_site_fract_z
Gd1 Gd 0.0000 0.0000 0.0000
Ho1 Ho 0.0000 0.0000 0.6801
Ho2 Ho 0.5000 0.0000 0.8672
Er1 Er 0.5000 0.0000 0.5472
Mg1 Mg 0.0000 0.0000 0.3384
Mg2 Mg 0.5000 0.0000 0.2082
```

=====

3.
# GdErI2O2
Theoretical powder XRD pattern, Cu Kα X-rays. Input: a cell relaxed with PBE.
Intensities are scaled so that the largest is 100.

Most intense lines, 10° ≤ 2θ ≤ 90°, by angle:
(hkl), Position (°2θ), intensity
1 0 2, 29.77, 100
1 1 0, 32.23, 44
1 0 3, 36.93, 20
2 0 0, 46.22, 20
1 1 4, 51.22, 13
2 1 2, 55.95, 34
1 1 5, 59.82, 12
2 1 3, 60.58, 10
2 2 0, 67.44, 6
2 0 5, 69.60, 6
1 0 7, 75.46, 14
3 1 0, 76.73, 8

Structure:
```
data_GdErI2O2
_symmetry_space_group_name_H-M 'P 4 m m'
_symmetry_Int_Tables_number 99
_cell_length_a 3.9279
_cell_length_b 3.9279
_cell_length_c 9.3052
_cell_angle_alpha 90.00
_cell_angle_beta 90.00
_cell_angle_gamma 90.00
loop_
_symmetry_equiv_pos_as_xyz
'x,y,z'
'-y,x,z'
'-x,-y,z'
'y,-x,z'
'-x,y,z'
'y,x,z'
'x,-y,z'
'-y,-x,z'
loop_
_atom_site_label
_atom_site_type_symbol
_atom_site_fract_x
_atom_site_fract_y
_atom_site_fract_z
Gd1 Gd 0.0000 0.0000 0.0000
Er1 Er 0.5000 0.5000 0.2359
I1 I 0.0000 0.0000 0.4393
I2 I 0.5000 0.5000 0.7959
O1 O 0.0000 0.5000 0.1222
```

=====

4.
# Gd2Er2SiI5
Theoretical powder XRD pattern, Cu Kα X-rays. Input: a cell relaxed with PBE.
Intensities are scaled so that the largest is 100.

Most intense lines, 10° ≤ 2θ ≤ 90°, by angle:
(hkl), Position (°2θ), intensity
0 0 1, 10.27, 28
3 1 -1, 26.43, 13
6 0 0, 28.70, 46
3 1 1, 28.84, 15
1 1 -2, 29.37, 100
5 1 0, 32.09, 21
2 0 -4, 40.88, 17
5 1 2, 41.35, 33
7 1 -2, 41.70, 31
0 2 0, 43.14, 18
6 2 0, 52.64, 18
2 2 -4, 60.93, 11

Structure:
```
data_Gd2Er2SiI5
_symmetry_space_group_name_H-M 'C 1 2/m 1'
_symmetry_Int_Tables_number 12
_cell_length_a 19.1324
_cell_length_b 4.1941
_cell_length_c 8.8309
_cell_angle_alpha 90.00
_cell_angle_beta 102.68
_cell_angle_gamma 90.00
loop_
_symmetry_equiv_pos_as_xyz
'x,y,z'
'-x,-y,-z'
'-x,y,-z'
'x,-y,z'
'x+1/2,y+1/2,z'
'-x+1/2,-y+1/2,-z'
'-x+1/2,y+1/2,-z'
'x+1/2,-y+1/2,z'
loop_
_atom_site_label
_atom_site_type_symbol
_atom_site_fract_x
_atom_site_fract_y
_atom_site_fract_z
Gd1 Gd 0.9998 0.0000 0.2108
Er1 Er 0.1435 0.5000 0.0730
Si1 Si 0.0000 0.5000 0.0000
I1 I 0.0000 0.5000 0.5000
I2 I 0.1681 0.0000 0.3319
I3 I 0.1734 0.0000 0.8363
```

=====

5.
# Gd2Er2SiI5
Theoretical powder XRD pattern, Cu Kα X-rays. Input: a cell relaxed with PBE.
Intensities are scaled so that the largest is 100.

Most intense lines, 10° ≤ 2θ ≤ 90°, by angle:
(hkl), Position (°2θ), intensity
0 0 1, 10.37, 20
3 1 -1, 26.54, 16
6 0 0, 28.82, 51
3 1 1, 28.99, 17
1 1 -2, 29.56, 100
5 1 0, 32.21, 17
2 0 -4, 41.30, 16
5 1 2, 41.63, 35
7 1 -2, 41.88, 33
0 2 0, 43.29, 19
6 2 0, 52.84, 19
12 0 0, 59.74, 11

Structure:
```
data_Gd2Er2SiI5
_symmetry_space_group_name_H-M 'C 1 2/m 1'
_symmetry_Int_Tables_number 12
_cell_length_a 19.0610
_cell_length_b 4.1804
_cell_length_c 8.7448
_cell_angle_alpha 90.00
_cell_angle_beta 102.78
_cell_angle_gamma 90.00
loop_
_symmetry_equiv_pos_as_xyz
'x,y,z'
'-x,-y,-z'
'-x,y,-z'
'x,-y,z'
'x+1/2,y+1/2,z'
'-x+1/2,-y+1/2,-z'
'-x+1/2,y+1/2,-z'
'x+1/2,-y+1/2,z'
loop_
_atom_site_label
_atom_site_type_symbol
_atom_site_fract_x
_atom_site_fract_y
_atom_site_fract_z
Gd1 Gd 0.1468 0.0000 0.0743
Er1 Er 0.0002 0.5000 0.2081
Si1 Si 0.0000 0.0000 0.0000
I1 I 0.0000 0.0000 0.5000
I2 I 0.1649 0.5000 0.3420
I3 I 0.1694 0.5000 0.8216
```

=====

6.
# NdGdErTmIn2
Theoretical powder XRD pattern, Cu Kα X-rays. Input: a cell relaxed with PBE.
Intensities are scaled so that the largest is 100.

Most intense lines, 10° ≤ 2θ ≤ 90°, by angle:
(hkl), Position (°2θ), intensity
0 1 2, 32.64, 97
1 1 0, 33.14, 100
1 1 2, 42.81, 7
2 0 2, 47.20, 35
0 0 4, 54.19, 8
1 2 2, 58.88, 36
3 0 0, 59.20, 19
1 1 4, 65.01, 28
2 2 0, 69.55, 12
3 1 2, 78.96, 15
3 0 4, 84.42, 14
0 4 2, 88.35, 6

Structure:
```
data_NdGdErTmIn2
_symmetry_space_group_name_H-M 'P 3 m 1'
_symmetry_Int_Tables_number 156
_cell_length_a 5.4066
_cell_length_b 5.4066
_cell_length_c 6.7705
_cell_angle_alpha 90.00
_cell_angle_beta 90.00
_cell_angle_gamma 120.00
loop_
_symmetry_equiv_pos_as_xyz
'x,y,z'
'-y,x-y,z'
'-x+y,-x,z'
'-y,-x,z'
'-x+y,y,z'
'x,x-y,z'
loop_
_atom_site_label
_atom_site_type_symbol
_atom_site_fract_x
_atom_site_fract_y
_atom_site_fract_z
Nd1 Nd 0.0000 0.0000 0.0000
Gd1 Gd 0.6667 0.3333 0.2594
Er1 Er 0.6667 0.3333 0.7461
Tm1 Tm 0.3333 0.6667 0.5055
In1 In 0.0000 0.0000 0.5036
In2 In 0.3333 0.6667 0.0011
```

=====

7.
# SmGdErScIn2
Theoretical powder XRD pattern, Cu Kα X-rays. Input: a cell relaxed with PBE.
Intensities are scaled so that the largest is 100.

Most intense lines, 10° ≤ 2θ ≤ 90°, by angle:
(hkl), Position (°2θ), intensity
1 0 0, 19.27, 12
1 0 1, 23.43, 6
0 1 2, 33.02, 100
1 1 0, 33.71, 92
2 0 2, 47.91, 35
0 0 4, 54.69, 7
1 2 2, 59.86, 36
3 0 0, 60.29, 17
1 1 4, 65.81, 25
2 2 0, 70.89, 10
3 1 2, 80.45, 15
3 0 4, 85.79, 12

Structure:
```
data_SmGdErScIn2
_symmetry_space_group_name_H-M 'P 3 m 1'
_symmetry_Int_Tables_number 156
_cell_length_a 5.3175
_cell_length_b 5.3175
_cell_length_c 6.7126
_cell_angle_alpha 90.00
_cell_angle_beta 90.00
_cell_angle_gamma 120.00
loop_
_symmetry_equiv_pos_as_xyz
'x,y,z'
'-y,x-y,z'
'-x+y,-x,z'
'-y,-x,z'
'-x+y,y,z'
'x,x-y,z'
loop_
_atom_site_label
_atom_site_type_symbol
_atom_site_fract_x
_atom_site_fract_y
_atom_site_fract_z
Sm1 Sm 0.0000 0.0000 0.0000
Gd1 Gd 0.6667 0.3333 0.2649
Er1 Er 0.6667 0.3333 0.7408
Sc1 Sc 0.3333 0.6667 0.5058
In1 In 0.0000 0.0000 0.5040
In2 In 0.3333 0.6667 0.0008
```

=====

8.
# GdErTmScIn2
Theoretical powder XRD pattern, Cu Kα X-rays. Input: a cell relaxed with PBE.
Intensities are scaled so that the largest is 100.

Most intense lines, 10° ≤ 2θ ≤ 90°, by angle:
(hkl), Position (°2θ), intensity
0 0 1, 13.31, 6
1 0 0, 19.45, 12
0 1 2, 33.34, 100
1 1 0, 34.03, 91
2 0 2, 48.38, 35
0 0 4, 55.24, 7
1 2 2, 60.47, 36
3 0 0, 60.91, 17
1 1 4, 66.49, 25
2 2 0, 71.64, 10
3 1 2, 81.35, 15
3 0 4, 86.77, 12

Structure:
```
data_GdErTmScIn2
_symmetry_space_group_name_H-M 'P 3 m 1'
_symmetry_Int_Tables_number 156
_cell_length_a 5.2690
_cell_length_b 5.2690
_cell_length_c 6.6514
_cell_angle_alpha 90.00
_cell_angle_beta 90.00
_cell_angle_gamma 120.00
loop_
_symmetry_equiv_pos_as_xyz
'x,y,z'
'-y,x-y,z'
'-x+y,-x,z'
'-y,-x,z'
'-x+y,y,z'
'x,x-y,z'
loop_
_atom_site_label
_atom_site_type_symbol
_atom_site_fract_x
_atom_site_fract_y
_atom_site_fract_z
Gd1 Gd 0.0000 0.0000 0.0000
Er1 Er 0.0000 0.0000 0.5126
Tm1 Tm 0.6667 0.3333 0.2594
Sc1 Sc 0.3333 0.6667 0.7531
In1 In 0.3333 0.6667 0.2583
In2 In 0.6667 0.3333 0.7551
```

=====

Number 3 is which compound?
GdErI2O2